1.
Computed powder XRD pattern of Pm3DyEr8 for Cu Kα, from a crystal structure in Alexandria, relaxed with PBE.
Peak positions follow from Bragg's law for the DFT cell and can differ from measured ones.

Atomic structure:
a b c (Å): 8.427 8.427 8.427
angles (deg): 99.93 95.98 136.33
Sites, in units of the cell vectors:
Pm (0.000, 0.000, 0.000)
Pm (0.414, 0.664, 0.749)
Pm (0.915, 0.664, 0.251)
Dy (0.500, 0.000, 0.500)
Er (0.418, 0.334, 0.418)
Er (0.418, 0.999, 0.084)
Er (0.497, 0.329, 0.832)
Er (0.497, 0.665, 0.168)
Er (0.916, 0.334, 0.916)
Er (0.916, 0.999, 0.582)
Er (0.997, 0.331, 0.333)
Er (0.997, 0.664, 0.667)

Largest 8 diffraction maxima, in order of falling intensity, 2θ = 10–90°:
| d (Å) | 2θ/deg | Rel. int. |
| --- | --- | --- |
| 2.738 | 32.7 | 100 |
| 2.820 | 31.7 | 24 |
| 3.132 | 28.5 | 24 |
| 1.522 | 60.9 | 23 |
| 1.612 | 57.1 | 21 |
| 1.808 | 50.5 | 20 |
| 1.509 | 61.5 | 16 |
| 2.096 | 43.2 | 16 |


2.
Computed powder XRD pattern of Nd6Y3Ho2Er for Cu Kα, from a crystal structure in Alexandria, relaxed with PBE.
Peak positions follow from Bragg's law for the DFT cell and can differ from measured ones.

Atomic structure:
a b c (Å): 6.277 6.277 11.854
angles (deg): 95.05 95.05 119.99
Sites, in units of the cell vectors:
Nd (0.084, 0.417, 0.752)
Nd (0.250, 0.250, 0.248)
Nd (0.417, 0.084, 0.752)
Nd (0.583, 0.916, 0.248)
Nd (0.750, 0.750, 0.752)
Nd (0.916, 0.583, 0.248)
Y (0.000, 0.000, 0.500)
Y (0.333, 0.667, 0.500)
Y (0.667, 0.333, 0.500)
Ho (0.167, 0.833, 0.000)
Ho (0.833, 0.167, 0.000)
Er (0.500, 0.500, 0.000)

Largest 8 diffraction maxima, in order of falling intensity, 2θ = 10–90°:
| d (Å) | 2θ/deg | Rel. int. |
| --- | --- | --- |
| 2.954 | 30.3 | 100 |
| 2.550 | 35.2 | 67 |
| 2.917 | 30.6 | 32 |
| 1.539 | 60.1 | 28 |
| 1.812 | 50.4 | 24 |
| 1.795 | 50.9 | 23 |
| 1.545 | 59.9 | 14 |
| 1.529 | 60.6 | 14 |


3.
Computed powder XRD pattern of BaCd8Ag4 for Cu Kα, from a crystal structure in Alexandria, relaxed with PBE.
Peak positions follow from Bragg's law for the DFT cell and can differ from measured ones.

Atomic structure:
a b c (Å): 7.777 7.777 7.777
angles (deg): 97.52 97.52 137.58
Sites, in units of the cell vectors:
Ba (0.000, 0.000, 0.000)
Cd (0.000, 0.353, 0.353)
Cd (0.000, 0.647, 0.647)
Cd (0.278, 0.500, 0.778)
Cd (0.353, 0.000, 0.353)
Cd (0.500, 0.278, 0.778)
Cd (0.500, 0.722, 0.222)
Cd (0.647, 0.000, 0.647)
Cd (0.722, 0.500, 0.222)
Ag (0.000, 0.000, 0.500)
Ag (0.000, 0.500, 0.000)
Ag (0.500, 0.000, 0.000)
Ag (0.500, 0.500, 0.500)

Largest 8 diffraction maxima, in order of falling intensity, 2θ = 10–90°:
| d (Å) | 2θ/deg | Rel. int. |
| --- | --- | --- |
| 2.538 | 35.4 | 100 |
| 2.563 | 35.0 | 72 |
| 2.466 | 36.4 | 71 |
| 2.222 | 40.6 | 69 |
| 2.921 | 30.6 | 42 |
| 2.293 | 39.3 | 38 |
| 2.274 | 39.6 | 34 |
| 1.460 | 63.7 | 27 |